This entry pairs a crystal structure of Ti3Rh5 with its calculated powder X-ray diffraction pattern. Radiation: λ = 1.5418 Å (Cu Kα). Structure: a DFT-relaxed cell (PBE, Alexandria).

Peak list (6 most intense, 10 to 80 degrees two-theta, by angle)
h k l  2θ/deg  intensity
2 0 1  39.86  43
0 4 1  40.68  100
2 1 1  40.81  67
2 3 0  42.19  31
0 0 2  43.92  46
0 4 3  78.56  23

Structural model:
a b c (Å): 5.4098 10.5248 4.1227
angles (deg): 90.00 90.00 90.00
Fractional coordinates of all 16 atoms:
1 Ti 0.0000 0.0000 0.0000
2 Ti 0.1609 0.3561 0.5000
3 Ti 0.3391 0.8561 0.5000
4 Ti 0.5000 0.5000 0.0000
5 Ti 0.6609 0.1439 0.5000
6 Ti 0.8391 0.6439 0.5000
7 Rh 0.0000 0.5000 0.0000
8 Rh 0.1036 0.7643 0.0000
9 Rh 0.1867 0.1070 0.5000
10 Rh 0.3133 0.6070 0.5000
11 Rh 0.3964 0.2643 0.0000
12 Rh 0.5000 0.0000 0.0000
13 Rh 0.6036 0.7357 0.0000
14 Rh 0.6867 0.3930 0.5000
15 Rh 0.8133 0.8930 0.5000
16 Rh 0.8964 0.2357 0.0000